Structure and computed powder X-ray diffraction pattern of BaMgVF7 (a structure optimized by DFT (PBE+U); Cu Ka).
Intensities are scaled so that the largest is 100.

Main lines, in order of falling intensity (10 to 80 degrees two-theta):
d_spacing, intensity, index
3.551, 100.0, 1 2 -1
3.384, 50.5, 1 1 2
2.221, 40.3, 1 4 1
2.246, 31.5, 2 2 -2
1.757, 25.3, 3 2 -1
2.188, 24.4, 0 2 4
3.462, 19.7, 1 2 1
3.086, 19.0, 0 1 3

Crystal structure
```
BaMgVF7
1.0
5.6834 0.0000 0.0000
0.0000 10.0290 0.0000
-0.5487 0.0000 9.7286
Ba Mg V F
4 4 4 28
Direct
0.2335 0.1769 0.0012
0.2335 0.3231 0.5012
0.7665 0.6769 0.4988
0.7665 0.8231 0.9988
0.1931 0.6040 0.8114
0.1931 0.8960 0.3114
0.8069 0.1040 0.6886
0.8069 0.3960 0.1886
0.3060 0.6122 0.1884
0.3060 0.8878 0.6884
0.6940 0.1122 0.3116
0.6940 0.3878 0.8116
0.0264 0.7160 0.2483
0.0264 0.7840 0.7483
0.1118 0.5406 0.6280
0.1118 0.9594 0.1280
0.1280 0.0501 0.6316
0.1280 0.4499 0.1316
0.2406 0.6883 0.0005
0.2406 0.8117 0.5005
0.3853 0.0512 0.3726
0.3853 0.4488 0.8726
0.3869 0.5437 0.3692
0.3869 0.9563 0.8692
0.4707 0.7181 0.7477
0.4707 0.7819 0.2477
0.5293 0.2181 0.7523
0.5293 0.2819 0.2523
0.6131 0.0437 0.1308
0.6131 0.4563 0.6308
0.6147 0.5512 0.1274
0.6147 0.9488 0.6274
0.7594 0.1883 0.4995
0.7594 0.3117 0.9995
0.8720 0.5501 0.8684
0.8720 0.9499 0.3684
0.8882 0.0406 0.8720
0.8882 0.4594 0.3720
0.9736 0.2160 0.2517
0.9736 0.2840 0.7517
```